# MgCo6O2F10
Simulated powder diffractogram, CuKα. Input: a PBE+U-relaxed structure.
Lines closer than 0.1° are merged.

Crystal structure
```
MgCo6O2F10
1.0
5.302 0.000 0.000
1.223 5.198 0.000
1.369 2.205 9.447
Mg Co O F
1 6 2 10
direct
0.000 0.000 0.000 Mg
0.180 0.444 0.447 Co
0.248 0.523 0.714 Co
0.456 0.876 0.203 Co
0.701 0.614 0.929 Co
0.731 0.938 0.573 Co
0.741 0.305 0.256 Co
0.041 0.685 0.565 O
0.415 0.526 0.290 O
0.050 0.354 0.885 F
0.083 0.092 0.178 F
0.369 0.831 0.997 F
0.417 0.211 0.614 F
0.554 0.652 0.741 F
0.594 0.968 0.368 F
0.648 0.238 0.056 F
0.832 0.692 0.111 F
0.903 0.249 0.442 F
0.906 0.895 0.836 F
```

Most intense lines, 15° ≤ 2θ ≤ 90°, by intensity:
2θ 21.68, rel. 100, (1 1 1)
2θ 27.89, rel. 54, (-1 1 1)
2θ 26.07, rel. 41, (1 1 -1)
2θ 32.01, rel. 26, (1 0 3)
2θ 39.07, rel. 26, (1 1 4)
2θ 47.37, rel. 26, (2 1 4)